1.
The following is a computed XRD peak list of Sm2DyHgN. It was derived from a cell relaxed with GGA-PBE, using Cu Kα X-rays.
Lines closer than 0.1° are merged.

Crystal structure
a = 4.952 Å, b = 4.952 Å, c = 4.787 Å
α = 90.00°, β = 90.00°, γ = 90.00°
Positions (direct):
Sm: 0.000 0.500 0.000
Sm: 0.500 0.000 0.000
Dy: 0.000 0.000 0.500
Hg: 0.500 0.500 0.500
N: 0.000 0.000 0.000

Peak list (10 most intense, 5° ≤ 2θ ≤ 70°, by intensity)
- 2.826 Å, I 100
- 2.476 Å, I 38
- 1.488 Å, I 29
- 1.721 Å, I 25
- 2.394 Å, I 17
- 1.452 Å, I 14
- 1.751 Å, I 13
- 1.413 Å, I 13
- 3.442 Å, I 1
- 3.501 Å, I 1

=====

2.
The following is a computed XRD peak list of NaDy5Hg8. It was derived from a cell relaxed with GGA-PBE, using Cu Kα X-rays.
Lines closer than 0.1° are merged.

Crystal structure
a = 7.807 Å, b = 7.807 Å, c = 7.807 Å
α = 109.39°, β = 109.39°, γ = 109.63°
Positions (direct):
Na: 0.000 0.000 0.000
Dy: 0.153 0.265 0.639
Dy: 0.250 0.750 0.500
Dy: 0.486 0.847 0.112
Dy: 0.626 0.514 0.361
Dy: 0.735 0.374 0.888
Hg: 0.019 0.610 0.743
Hg: 0.188 0.443 0.077
Hg: 0.365 0.111 0.923
Hg: 0.390 0.133 0.409
Hg: 0.557 0.635 0.746
Hg: 0.724 0.981 0.591
Hg: 0.867 0.276 0.257
Hg: 0.889 0.812 0.254

Peak list (10 most intense, 5° ≤ 2θ ≤ 70°, by intensity)
- 2.851 Å, I 100
- 2.409 Å, I 96
- 1.840 Å, I 24
- 1.463 Å, I 20
- 3.679 Å, I 18
- 1.769 Å, I 12
- 1.391 Å, I 11
- 1.460 Å, I 9
- 1.426 Å, I 8
- 1.766 Å, I 7

=====

3.
The following is a computed XRD peak list of NaDy3Hg5. It was derived from a cell relaxed with GGA-PBE, using Cu Kα X-rays.
Lines closer than 0.1° are merged.

Crystal structure
a = 9.091 Å, b = 9.091 Å, c = 6.291 Å
α = 90.00°, β = 90.00°, γ = 120.00°
Positions (direct):
Na: 0.000 0.000 0.000
Na: 0.000 0.000 0.500
Dy: 0.000 0.361 0.250
Dy: 0.000 0.639 0.750
Dy: 0.361 0.000 0.250
Dy: 0.361 0.361 0.750
Dy: 0.639 0.000 0.750
Dy: 0.639 0.639 0.250
Hg: 0.000 0.306 0.750
Hg: 0.000 0.694 0.250
Hg: 0.306 0.000 0.750
Hg: 0.306 0.306 0.250
Hg: 0.333 0.667 0.000
Hg: 0.333 0.667 0.500
Hg: 0.667 0.333 0.000
Hg: 0.667 0.333 0.500
Hg: 0.694 0.000 0.250
Hg: 0.694 0.694 0.750

Peak list (10 most intense, 5° ≤ 2θ ≤ 70°, by intensity)
- 2.624 Å, I 100
- 2.587 Å, I 87
- 1.842 Å, I 29
- 1.508 Å, I 27
- 1.349 Å, I 26
- 7.873 Å, I 16
- 2.690 Å, I 16
- 2.015 Å, I 15
- 1.515 Å, I 15
- 3.146 Å, I 12

=====

4.
The following is a computed XRD peak list of NaDy2Hg4. It was derived from a cell relaxed with GGA-PBE, using Cu Kα X-rays.
Lines closer than 0.1° are merged.

Crystal structure
a = 8.840 Å, b = 8.840 Å, c = 8.840 Å
α = 33.39°, β = 33.39°, γ = 33.39°
Positions (direct):
Na: 0.000 0.000 0.000
Dy: 0.249 0.249 0.249
Dy: 0.751 0.751 0.751
Hg: 0.127 0.127 0.127
Hg: 0.376 0.376 0.376
Hg: 0.624 0.624 0.624
Hg: 0.873 0.873 0.873

Peak list (10 most intense, 5° ≤ 2θ ≤ 70°, by intensity)
- 2.549 Å, I 100
- 2.540 Å, I 100
- 1.468 Å, I 56
- 3.598 Å, I 38
- 1.799 Å, I 36
- 4.150 Å, I 24
- 1.473 Å, I 18
- 2.168 Å, I 12
- 2.075 Å, I 9
- 1.607 Å, I 8

=====

5.
The following is a computed XRD peak list of NdDyHg3. It was derived from a cell relaxed with GGA-PBE, using Cu Kα X-rays.
Lines closer than 0.1° are merged.

Crystal structure
a = 14.756 Å, b = 14.756 Å, c = 4.976 Å
α = 90.00°, β = 90.00°, γ = 165.99°
Positions (direct):
Nd: 0.076 0.924 0.750
Nd: 0.924 0.076 0.250
Dy: 0.211 0.789 0.250
Dy: 0.789 0.211 0.750
Hg: 0.317 0.683 0.250
Hg: 0.377 0.623 0.750
Hg: 0.476 0.524 0.750
Hg: 0.524 0.476 0.250
Hg: 0.623 0.377 0.250
Hg: 0.683 0.317 0.750

Peak list (10 most intense, 5° ≤ 2θ ≤ 70°, by intensity)
- 2.794 Å, I 100
- 2.524 Å, I 82
- 2.488 Å, I 48
- 2.729 Å, I 36
- 1.465 Å, I 35
- 2.172 Å, I 32
- 1.839 Å, I 23
- 1.458 Å, I 20
- 3.573 Å, I 19
- 1.800 Å, I 19

=====

6.
The following is a computed XRD peak list of NdDy3Hg. It was derived from a cell relaxed with GGA-PBE, using Cu Kα X-rays.
Lines closer than 0.1° are merged.

Crystal structure
a = 14.962 Å, b = 14.962 Å, c = 5.541 Å
α = 90.34°, β = 90.34°, γ = 14.04°
Positions (direct):
Nd: 0.233 0.233 0.249
Nd: 0.767 0.767 0.751
Dy: 0.158 0.158 0.747
Dy: 0.374 0.374 0.756
Dy: 0.452 0.452 0.265
Dy: 0.548 0.548 0.735
Dy: 0.626 0.626 0.244
Dy: 0.842 0.842 0.253
Hg: 0.041 0.041 0.228
Hg: 0.959 0.959 0.772

Peak list (10 most intense, 5° ≤ 2θ ≤ 70°, by intensity)
- 2.715 Å, I 100
- 2.770 Å, I 32
- 14.850 Å, I 18
- 2.970 Å, I 17
- 1.591 Å, I 12
- 1.586 Å, I 12
- 1.526 Å, I 10
- 1.828 Å, I 10
- 3.114 Å, I 9
- 2.611 Å, I 8

=====

7.
The following is a computed XRD peak list of Nd2Dy3Hg7. It was derived from a cell relaxed with GGA-PBE, using Cu Kα X-rays.
Lines closer than 0.1° are merged.

Crystal structure
a = 12.024 Å, b = 12.024 Å, c = 5.415 Å
α = 90.00°, β = 90.00°, γ = 154.72°
Positions (direct):
Nd: 0.145 0.855 0.000
Nd: 0.855 0.145 0.000
Dy: 0.338 0.662 0.500
Dy: 0.500 0.500 0.500
Dy: 0.662 0.338 0.500
Hg: 0.000 0.000 0.000
Hg: 0.079 0.921 0.500
Hg: 0.278 0.722 0.000
Hg: 0.427 0.573 0.000
Hg: 0.573 0.427 0.000
Hg: 0.722 0.278 0.000
Hg: 0.921 0.079 0.500

Peak list (10 most intense, 5° ≤ 2θ ≤ 70°, by intensity)
- 2.506 Å, I 100
- 2.708 Å, I 36
- 2.631 Å, I 34
- 1.887 Å, I 25
- 1.521 Å, I 22
- 1.494 Å, I 21
- 2.941 Å, I 19
- 11.733 Å, I 11
- 3.502 Å, I 7
- 1.956 Å, I 7

=====

8.
The following is a computed XRD peak list of NdDy4Hg5. It was derived from a cell relaxed with GGA-PBE, using Cu Kα X-rays.
Lines closer than 0.1° are merged.

Crystal structure
a = 3.739 Å, b = 3.739 Å, c = 18.786 Å
α = 90.00°, β = 90.00°, γ = 90.00°
Positions (direct):
Nd: 0.000 0.000 0.000
Dy: 0.000 0.000 0.204
Dy: 0.000 0.000 0.402
Dy: 0.000 0.000 0.598
Dy: 0.000 0.000 0.796
Hg: 0.500 0.500 0.109
Hg: 0.500 0.500 0.303
Hg: 0.500 0.500 0.500
Hg: 0.500 0.500 0.697
Hg: 0.500 0.500 0.891

Peak list (10 most intense, 5° ≤ 2θ ≤ 70°, by intensity)
- 2.648 Å, I 100
- 1.528 Å, I 25
- 1.870 Å, I 12
- 1.531 Å, I 12
- 1.879 Å, I 6
- 3.739 Å, I 1
- 2.401 Å, I 1
- 1.435 Å, I 1
- 1.673 Å, I 1
- 2.162 Å, I 1

=====

9.
The following is a computed XRD peak list of NdDyHg4. It was derived from a cell relaxed with GGA-PBE, using Cu Kα X-rays.
Lines closer than 0.1° are merged.

Crystal structure
a = 10.742 Å, b = 3.913 Å, c = 7.924 Å
α = 90.00°, β = 110.85°, γ = 90.00°
Positions (direct):
Nd: 0.000 0.000 0.000
Nd: 0.500 0.500 0.000
Dy: 0.000 0.000 0.500
Dy: 0.500 0.500 0.500
Hg: 0.167 0.500 0.824
Hg: 0.168 0.500 0.343
Hg: 0.332 0.000 0.657
Hg: 0.333 0.000 0.176
Hg: 0.667 0.000 0.824
Hg: 0.668 0.000 0.343
Hg: 0.832 0.500 0.657
Hg: 0.833 0.500 0.176

Peak list (10 most intense, 5° ≤ 2θ ≤ 70°, by intensity)
- 2.542 Å, I 100
- 2.784 Å, I 85
- 2.574 Å, I 34
- 1.956 Å, I 16
- 1.981 Å, I 16
- 1.558 Å, I 15
- 1.571 Å, I 15
- 1.550 Å, I 15
- 1.555 Å, I 15
- 1.440 Å, I 12

=====

10.
The following is a computed XRD peak list of Nd3Dy2Hg3. It was derived from a cell relaxed with GGA-PBE, using Cu Kα X-rays.
Lines closer than 0.1° are merged.

Crystal structure
a = 3.783 Å, b = 5.474 Å, c = 22.462 Å
α = 90.00°, β = 90.00°, γ = 90.00°
Positions (direct):
Nd: 0.000 0.000 0.000
Nd: 0.000 0.500 0.122
Nd: 0.000 0.500 0.878
Nd: 0.500 0.000 0.378
Nd: 0.500 0.000 0.622
Nd: 0.500 0.500 0.500
Dy: 0.000 0.000 0.234
Dy: 0.000 0.000 0.766
Dy: 0.500 0.500 0.266
Dy: 0.500 0.500 0.734
Hg: 0.000 0.000 0.500
Hg: 0.000 0.500 0.377
Hg: 0.000 0.500 0.623
Hg: 0.500 0.000 0.123
Hg: 0.500 0.000 0.877
Hg: 0.500 0.500 0.000

Peak list (10 most intense, 5° ≤ 2θ ≤ 70°, by intensity)
- 2.722 Å, I 100
- 2.737 Å, I 26
- 2.808 Å, I 24
- 1.577 Å, I 20
- 1.960 Å, I 17
- 1.604 Å, I 15
- 1.361 Å, I 11
- 1.556 Å, I 10
- 1.892 Å, I 9
- 1.569 Å, I 8

=====

11.
The following is a computed XRD peak list of Nd3DyHg4. It was derived from a cell relaxed with GGA-PBE, using Cu Kα X-rays.
Lines closer than 0.1° are merged.

Crystal structure
a = 3.793 Å, b = 3.793 Å, c = 15.367 Å
α = 90.00°, β = 90.00°, γ = 90.00°
Positions (direct):
Nd: 0.000 0.000 0.000
Nd: 0.000 0.000 0.254
Nd: 0.000 0.000 0.746
Dy: 0.000 0.000 0.500
Hg: 0.500 0.500 0.126
Hg: 0.500 0.500 0.385
Hg: 0.500 0.500 0.615
Hg: 0.500 0.500 0.874

Peak list (10 most intense, 5° ≤ 2θ ≤ 70°, by intensity)
- 2.699 Å, I 100
- 2.682 Å, I 50
- 1.552 Å, I 38
- 1.897 Å, I 19
- 1.562 Å, I 18
- 1.350 Å, I 11
- 1.921 Å, I 9
- 3.793 Å, I 3
- 2.198 Å, I 2
- 15.367 Å, I 1

=====

12.
The following is a computed XRD peak list of Nd2DyHg2Pb2. It was derived from a cell relaxed with GGA-PBE, using Cu Kα X-rays.
Lines closer than 0.1° are merged.

Crystal structure
a = 9.589 Å, b = 9.589 Å, c = 9.589 Å
α = 30.92°, β = 30.92°, γ = 30.92°
Positions (direct):
Nd: 0.130 0.130 0.130
Nd: 0.870 0.870 0.870
Dy: 0.000 0.000 0.000
Hg: 0.431 0.431 0.431
Hg: 0.569 0.569 0.569
Pb: 0.277 0.277 0.277
Pb: 0.723 0.723 0.723

Peak list (10 most intense, 5° ≤ 2θ ≤ 70°, by intensity)
- 2.931 Å, I 100
- 2.556 Å, I 79
- 1.926 Å, I 31
- 1.538 Å, I 30
- 1.788 Å, I 16
- 1.476 Å, I 15
- 1.465 Å, I 8
- 2.230 Å, I 8
- 4.562 Å, I 8
- 1.901 Å, I 8

=====

13.
The following is a computed XRD peak list of NdDyHgRh. It was derived from a cell relaxed with GGA-PBE, using Cu Kα X-rays.
Lines closer than 0.1° are merged.

Crystal structure
a = 7.266 Å, b = 7.266 Å, c = 7.266 Å
α = 90.00°, β = 90.00°, γ = 90.00°
Positions (direct):
Nd: 0.000 0.000 0.000
Nd: 0.000 0.500 0.500
Nd: 0.500 0.000 0.500
Nd: 0.500 0.500 0.000
Dy: 0.000 0.000 0.500
Dy: 0.000 0.500 0.000
Dy: 0.500 0.000 0.000
Dy: 0.500 0.500 0.500
Hg: 0.250 0.250 0.750
Hg: 0.250 0.750 0.250
Hg: 0.750 0.250 0.250
Hg: 0.750 0.750 0.750
Rh: 0.250 0.250 0.250
Rh: 0.250 0.750 0.750
Rh: 0.750 0.250 0.750
Rh: 0.750 0.750 0.250

Peak list (7 most intense, 5° ≤ 2θ ≤ 70°, by intensity)
- 2.569 Å, I 100
- 1.483 Å, I 37
- 1.816 Å, I 18
- 4.195 Å, I 5
- 2.191 Å, I 3
- 1.667 Å, I 1
- 1.398 Å, I 1

=====

14.
The following is a computed XRD peak list of Dy6Ni2Hg. It was derived from a cell relaxed with GGA-PBE, using Cu Kα X-rays.
Lines closer than 0.1° are merged.

Crystal structure
a = 8.378 Å, b = 8.378 Å, c = 8.378 Å
α = 112.80°, β = 109.30°, γ = 106.38°
Positions (direct):
Dy: 0.034 0.234 0.800
Dy: 0.182 0.291 0.473
Dy: 0.182 0.709 0.891
Dy: 0.325 0.018 0.693
Dy: 0.325 0.632 0.307
Dy: 0.433 0.234 0.200
Dy: 0.567 0.766 0.800
Dy: 0.675 0.368 0.693
Dy: 0.675 0.982 0.307
Dy: 0.818 0.291 0.109
Dy: 0.818 0.709 0.527
Dy: 0.966 0.766 0.200
Ni: 0.123 0.623 0.500
Ni: 0.356 0.000 0.356
Ni: 0.644 0.000 0.644
Ni: 0.877 0.377 0.500
Hg: 0.000 0.000 0.000
Hg: 0.500 0.500 0.000

Peak list (10 most intense, 5° ≤ 2θ ≤ 70°, by intensity)
- 2.787 Å, I 100
- 2.609 Å, I 94
- 2.945 Å, I 34
- 2.563 Å, I 28
- 1.532 Å, I 28
- 2.318 Å, I 19
- 2.522 Å, I 17
- 2.510 Å, I 16
- 1.642 Å, I 16
- 3.076 Å, I 15